Diffraction record for NiP3O9. The XRD peak list is theoretical, not measured: it uses a crystal structure in the Materials Project, relaxed with PBE+U and CuKα.

Most intense lines, 2θ from 15° to 90°, by angle:
15.20 deg, d 5.828, rel. 42, (1 -1 1); 18.54 deg, d 4.787, rel. 50, (0 1 1); 19.86 deg, d 4.471, rel. 55, (1 1 -2); 20.30 deg, d 4.375, rel. 35, (-2 1 1); 21.15 deg, d 4.201, rel. 50, (0 0 2); 22.33 deg, d 3.981, rel. 52, (0 2 0); 23.57 deg, d 3.775, rel. 38, (1 -1 2); 25.19 deg, d 3.536, rel. 68, (2 1 -1); 28.52 deg, d 3.130, rel. 38, (0 1 -3); 30.31 deg, d 2.949, rel. 41, (0 3 -1); 31.16 deg, d 2.870, rel. 100, (-3 2 1); 32.52 deg, d 2.754, rel. 67, (1 -2 3)

Structure:
abc: 9.4465 9.4555 9.7877
angles: 109.72 104.97 108.62
Sites, in units of the cell vectors:
Ni  0.0924  0.2912  0.2117
Ni  0.2553  0.7748  0.7230
Ni  0.7447  0.2252  0.2770
Ni  0.9076  0.7088  0.7883
P  0.0024  0.6052  0.3553
P  0.0497  0.7829  0.1629
P  0.1872  0.0932  0.9238
P  0.3009  0.4341  0.5923
P  0.4290  0.6603  0.2903
P  0.4883  0.8461  0.0977
P  0.5117  0.1539  0.9023
P  0.5710  0.3397  0.7097
P  0.6991  0.5659  0.4077
P  0.8128  0.9068  0.0762
P  0.9503  0.2171  0.8371
P  0.9976  0.3948  0.6447
O  0.0047  0.6260  0.1991
O  0.0355  0.5764  0.6854
O  0.0394  0.7197  0.9951
O  0.0972  0.1707  0.8253
O  0.1198  0.9072  0.8137
O  0.1516  0.7410  0.4991
O  0.1530  0.3626  0.6401
O  0.1807  0.1450  0.0832
O  0.2154  0.9252  0.2814
O  0.2531  0.3281  0.4193
O  0.2703  0.5160  0.2450
O  0.3602  0.8110  0.9481
O  0.3645  0.6206  0.6553
O  0.3681  0.1937  0.9412
O  0.4101  0.6960  0.1393
O  0.4270  0.3957  0.7029
O  0.4382  0.9859  0.7601
O  0.4803  0.8132  0.4432
O  0.5197  0.1868  0.5568
O  0.5618  0.0141  0.2399
O  0.5730  0.6043  0.2971
O  0.5899  0.3040  0.8607
O  0.6319  0.8063  0.0588
O  0.6355  0.3794  0.3447
O  0.6398  0.1890  0.0519
O  0.7297  0.4840  0.7550
O  0.7469  0.6719  0.5807
O  0.7846  0.0748  0.7186
O  0.8193  0.8550  0.9168
O  0.8470  0.6374  0.3599
O  0.8484  0.2590  0.5009
O  0.8802  0.0928  0.1863
O  0.9028  0.8293  0.1747
O  0.9606  0.2803  0.0049
O  0.9645  0.4236  0.3146
O  0.9953  0.3740  0.8009